[1]
Sr3SnAu4: theoretical powder XRD pattern (Cu Kα X-rays), based on a structure optimized by DFT (GGA-PBE).

Unit cell a=4.547 b=6.939 c=15.470 alpha=90.00 beta=90.00 gamma=90.00
Positions (direct):
Sr 0.000 0.000 0.000
Sr 0.000 0.500 0.187
Sr 0.000 0.500 0.813
Sr 0.500 0.000 0.313
Sr 0.500 0.000 0.687
Sr 0.500 0.500 0.500
Sn 0.000 0.000 0.500
Sn 0.500 0.500 0.000
Au 0.000 0.301 0.377
Au 0.000 0.301 0.623
Au 0.000 0.699 0.377
Au 0.000 0.699 0.623
Au 0.500 0.199 0.123
Au 0.500 0.199 0.877
Au 0.500 0.801 0.123
Au 0.500 0.801 0.877

Principal peaks in the range 10 to 90 degrees two-theta, in order of rising 2θ:
- hkl 1 0 1, d = 4.363 Å, I 100.0
- hkl 1 0 3, d = 3.412 Å, I 64.9
- hkl 1 2 1, d = 2.714 Å, I 99.5
- hkl 0 2 4, d = 2.582 Å, I 71.5
- hkl 1 0 5, d = 2.558 Å, I 49.7
- hkl 1 2 3, d = 2.432 Å, I 63.8

=====

[2]
BaIn3Ge3: theoretical powder XRD pattern (Cu Kα X-rays), based on a structure optimized by DFT (GGA-PBE).

Unit cell a=7.606 b=7.606 c=7.606 alpha=90.00 beta=90.00 gamma=90.00
Positions (direct):
Ba 0.000 0.000 0.000
Ba 0.500 0.500 0.500
In 0.000 0.250 0.500
In 0.000 0.750 0.500
In 0.250 0.500 0.000
In 0.500 0.000 0.250
In 0.500 0.000 0.750
In 0.750 0.500 0.000
Ge 0.000 0.500 0.250
Ge 0.000 0.500 0.750
Ge 0.250 0.000 0.500
Ge 0.500 0.250 0.000
Ge 0.500 0.750 0.000
Ge 0.750 0.000 0.500

Principal peaks in the range 10 to 90 degrees two-theta, in order of rising 2θ:
- hkl 2 0 0, d = 3.803 Å, I 41.9
- hkl 2 1 1, d = 3.105 Å, I 100.0
- hkl 2 2 2, d = 2.196 Å, I 23.8
- hkl 3 2 1, d = 2.033 Å, I 59.5
- hkl 4 0 0, d = 1.901 Å, I 28.8
- hkl 4 4 0, d = 1.344 Å, I 18.1